The following is a calculated powder diffraction line list of Cs2TiSe8. It was derived from the PBE geometry in Alexandria, using a wavelength of 1.5418 Å.
Intensities are scaled so that the largest is 100.

Most intense lines, 2θ = 10–90°, sorted by position:
two_theta, I/Imax, index
11.23, 58, 0 0 1
18.18, 38, 1 1 0
21.42, 36, 1 -1 1
22.57, 74, 0 0 2
26.91, 38, 0 2 2
27.15, 100, 2 0 1
28.74, 69, 1 -1 2
29.25, 34, -1 2 1
30.08, 67, 2 0 2
34.48, 35, 2 0 -1

Crystal structure
a = 6.6690 Å, b = 8.0980 Å, c = 8.9480 Å
α = 69.23°, β = 68.43°, γ = 80.75°
Space group P-1 (No. 2)
Asymmetric unit:
Cs: 0.2126 0.2293 0.1984 x2
Ti: 0.5000 0.5000 0.5000 x1
Se: 0.1518 0.5783 0.4013 x2
Se: 0.3382 0.5690 0.7647 x2
Se: 0.3510 0.9778 0.6270 x2
Se: 0.3674 0.2216 0.7381 x2


The following is a calculated powder diffraction line list of AlInTeO6. It was derived from the PBE geometry in Alexandria, using a wavelength of 1.5418 Å.
Intensities are scaled so that the largest is 100.

Most intense lines, 2θ = 10–90°, sorted by position:
two_theta, I/Imax, index
22.42, 31, 1 0 1
27.95, 100, 1 0 2
35.47, 44, 1 1 0
45.76, 24, 2 0 2
53.46, 43, 1 1 4
59.21, 23, 2 1 2
63.54, 9, 1 0 6
63.71, 18, 3 0 0
81.93, 9, 4 -1 2
87.81, 9, 4 -2 4

Crystal structure
a = 5.0596 Å, b = 5.0596 Å, c = 9.3203 Å
α = 90.00°, β = 90.00°, γ = 120.00°
Space group P-31c (No. 163)
Asymmetric unit:
Al: 0.3333 0.6667 0.2500 x2
In: 0.0000 0.0000 0.0000 x2
Te: 0.3333 0.6667 0.7500 x2
O: 0.0044 0.3628 0.1371 x12


The following is a calculated powder diffraction line list of BeH4NF3. It was derived from the PBE geometry in Alexandria, using a wavelength of 1.5418 Å.
Intensities are scaled so that the largest is 100.

Most intense lines, 2θ = 10–90°, sorted by position:
two_theta, I/Imax, index
13.35, 97, 0 0 2
16.76, 68, 0 1 1
25.54, 100, 1 1 1
26.88, 33, 0 0 4
31.05, 83, 0 2 0
37.34, 31, 1 2 1
38.82, 36, 2 0 0
39.14, 32, 1 0 5
41.98, 33, 2 1 0
42.24, 100, 1 1 5

Crystal structure
a = 4.6393 Å, b = 5.7678 Å, c = 13.2657 Å
α = 90.00°, β = 90.00°, γ = 90.00°
Space group P2_12_12_1 (No. 19)
Asymmetric unit:
Be: 0.1898 0.1859 0.0629 x4
H: 0.0188 0.7059 0.8810 x4
H: 0.1132 0.2747 0.3830 x4
H: 0.1765 0.9630 0.8630 x4
H: 0.2040 0.7551 0.7725 x4
N: 0.1988 0.7882 0.8502 x4
F: 0.1355 0.7553 0.4621 x4
F: 0.2006 0.6733 0.6525 x4
F: 0.2024 0.9210 0.0811 x4


The following is a calculated powder diffraction line list of Ce3Th3Sn2. It was derived from the PBE geometry in Alexandria, using a wavelength of 1.5418 Å.
Intensities are scaled so that the largest is 100.

Most intense lines, 2θ = 10–90°, sorted by position:
two_theta, I/Imax, index
31.89, 100, 1 1 2
36.45, 18, 0 2 0
37.09, 17, 2 0 0
37.41, 16, 0 0 4
52.98, 12, 2 2 0
53.22, 12, 0 2 4
62.75, 15, 1 3 2
63.62, 14, 3 1 2
64.03, 14, 1 1 6
66.65, 12, 2 2 4

Crystal structure
a = 4.8473 Å, b = 4.9303 Å, c = 9.6168 Å
α = 90.00°, β = 90.00°, γ = 90.00°
Space group Pmmm (No. 47)
Asymmetric unit:
Ce: 0.0000 0.0000 0.0000 x1
Ce: 0.5000 0.0000 0.2444 x2
Th: 0.0000 0.0000 0.5000 x1
Th: 0.5000 0.5000 0.0000 x1
Th: 0.5000 0.5000 0.5000 x1
Sn: 0.0000 0.5000 0.2482 x2


The following is a calculated powder diffraction line list of Pr2ThTe2Se2. It was derived from the PBE geometry in Alexandria, using a wavelength of 1.5418 Å.
Intensities are scaled so that the largest is 100.

Most intense lines, 2θ = 10–90°, sorted by position:
two_theta, I/Imax, index
11.07, 19, 0 0 2
22.68, 46, 1 1 0
32.31, 100, 2 0 0
34.23, 5, 2 0 2
46.33, 57, 2 2 0
47.33, 6, 2 0 6
52.16, 10, 3 1 0
57.63, 14, 0 0 10
67.62, 26, 4 0 0
76.92, 22, 4 2 0

Crystal structure
a = 5.5449 Å, b = 5.5449 Å, c = 15.9798 Å
α = 90.00°, β = 90.00°, γ = 90.00°
Space group I4/mmm (No. 139)
Asymmetric unit:
Pr: 0.0000 0.0000 0.1124 x4
Th: 0.0000 0.0000 0.5000 x2
Te: 0.0000 0.0000 0.3093 x4
Se: 0.0000 0.5000 0.0000 x4


The following is a calculated powder diffraction line list of Ac2BeSbPt6. It was derived from the PBE geometry in Alexandria, using a wavelength of 1.5418 Å.
Intensities are scaled so that the largest is 100.

Most intense lines, 2θ = 10–90°, sorted by position:
two_theta, I/Imax, index
26.11, 17, 1 1 2
32.39, 100, 0 2 2
32.98, 34, 0 0 4
34.12, 95, 2 0 2
39.01, 35, 1 1 4
41.17, 79, 2 2 0
45.01, 14, 2 0 4
53.72, 31, 2 2 4
68.50, 18, 2 4 2
71.52, 21, 4 2 2

Crystal structure
a = 6.0044 Å, b = 6.4209 Å, c = 10.8646 Å
α = 90.00°, β = 90.00°, γ = 90.00°
Space group Imm2 (No. 44)
Asymmetric unit:
Ac: 0.0000 0.0000 0.0000 x2
Ac: 0.0000 0.0000 0.4901 x2
Be: 0.0000 0.5000 0.3515 x2
Sb: 0.0000 0.5000 0.8299 x2
Pt: 0.0000 0.5000 0.0639 x2
Pt: 0.0000 0.5000 0.5569 x2
Pt: 0.2413 0.2828 0.2356 x8


The following is a calculated powder diffraction line list of Np3B2AsRh9. It was derived from the PBE geometry in Alexandria, using a wavelength of 1.5418 Å.
Intensities are scaled so that the largest is 100.

Most intense lines, 2θ = 10–90°, sorted by position:
two_theta, I/Imax, index
27.07, 21, 1 1 0
31.49, 16, 0 1 2
34.28, 100, 0 2 1
41.34, 20, 0 0 3
41.99, 71, 2 0 2
55.82, 30, 2 2 0
65.73, 17, 0 2 4
67.16, 11, 4 0 1
71.77, 19, 2 2 3
72.23, 12, 0 4 2

Crystal structure
a = 6.5888 Å, b = 6.5888 Å, c = 6.5526 Å
α = 90.00°, β = 90.00°, γ = 120.00°
Space group P-3m1 (No. 164)
Asymmetric unit:
Np: 0.0000 0.0000 0.0000 x1
Np: 0.3333 0.6667 0.6894 x2
B: 0.3333 0.6667 0.1385 x2
As: 0.0000 0.0000 0.5000 x1
Rh: 0.0000 0.5000 0.0000 x3
Rh: 0.1908 0.3817 0.3453 x6


The following is a calculated powder diffraction line list of La2TbScHg2. It was derived from the PBE geometry in Alexandria, using a wavelength of 1.5418 Å.
Intensities are scaled so that the largest is 100.

Most intense lines, 2θ = 10–90°, sorted by position:
two_theta, I/Imax, index
22.44, 17, 0 2 1
23.50, 24, 1 1 1
28.70, 32, 1 2 1
31.04, 27, 0 2 2
31.83, 100, 1 1 2
33.59, 64, 1 3 0
35.77, 51, 2 0 0
48.04, 25, 2 2 2
61.78, 27, 3 1 2
62.87, 17, 3 3 0

Crystal structure
a = 5.0217 Å, b = 9.4483 Å, c = 7.2696 Å
α = 90.00°, β = 90.00°, γ = 90.00°
Space group Pmc2_1 (No. 26)
Asymmetric unit:
La: 0.0000 0.0572 0.0000 x2
La: 0.5000 0.1695 0.3138 x2
Tb: 0.5000 0.4494 0.9703 x2
Sc: 0.0000 0.3277 0.6530 x2
Hg: 0.0000 0.3749 0.2414 x2
Hg: 0.5000 0.1727 0.7439 x2


The following is a calculated powder diffraction line list of AlHgPbBr6. It was derived from the PBE geometry in Alexandria, using a wavelength of 1.5418 Å.
Intensities are scaled so that the largest is 100.

Most intense lines, 2θ = 10–90°, sorted by position:
two_theta, I/Imax, index
19.41, 100, 1 1 1
27.88, 42, 1 -1 1
28.22, 16, 0 0 2
30.45, 13, 2 1 0
31.31, 21, 1 2 2
36.58, 31, 2 2 1
36.68, 31, -2 1 2
40.06, 31, 1 -1 2
40.17, 15, 1 -2 1
42.87, 22, 0 3 0

Crystal structure
a = 6.6199 Å, b = 7.2944 Å, c = 7.3060 Å
α = 60.11°, β = 89.96°, γ = 89.73°
Space group P1 (No. 1)
Asymmetric unit:
Al: 0.0000 0.0000 0.0000 x1
Hg: 0.4999 0.6667 0.6662 x1
Pb: 0.9999 0.3335 0.3325 x1
Br: 0.2262 0.2806 0.0003 x1
Br: 0.2265 0.9998 0.7178 x1
Br: 0.2271 0.7175 0.2806 x1
Br: 0.7730 0.0017 0.2801 x1
Br: 0.7730 0.2821 0.7174 x1
Br: 0.7738 0.7190 0.9995 x1


The following is a calculated powder diffraction line list of CsNa5. It was derived from the PBE geometry in Alexandria, using a wavelength of 1.5418 Å.
Intensities are scaled so that the largest is 100.

Most intense lines, 2θ = 10–90°, sorted by position:
two_theta, I/Imax, index
17.00, 40, 1 0 0
19.34, 85, 1 0 1
25.13, 100, 1 0 2
29.67, 60, 1 1 0
35.66, 18, 2 0 1
39.26, 30, 2 0 2
41.04, 30, 1 1 3
41.19, 20, 1 0 4
47.05, 16, 2 1 1
49.97, 29, 2 1 2

Crystal structure
a = 6.0223 Å, b = 6.0223 Å, c = 9.6609 Å
α = 90.00°, β = 90.00°, γ = 120.00°
Space group P6/mmm (No. 191)
Asymmetric unit:
Cs: 0.0000 0.0000 0.0000 x1
Na: 0.0000 0.0000 0.5000 x1
Na: 0.3333 0.6667 0.3186 x4


The following is a calculated powder diffraction line list of CaGaPb2O4. It was derived from the PBE geometry in Alexandria, using a wavelength of 1.5418 Å.
Intensities are scaled so that the largest is 100.

Most intense lines, 2θ = 10–90°, sorted by position:
two_theta, I/Imax, index
15.13, 57, 0 0 2
28.85, 100, 0 2 2
30.14, 100, 2 0 2
30.53, 38, 0 0 4
35.90, 46, 2 2 0
39.16, 35, 2 2 2
47.83, 59, 2 2 4
53.25, 31, 4 0 0
59.52, 33, 2 4 2
61.73, 24, 4 2 2

Crystal structure
a = 6.8762 Å, b = 7.2917 Å, c = 11.7117 Å
α = 90.00°, β = 90.00°, γ = 90.00°
Space group Fmm2 (No. 42)
Asymmetric unit:
Ca: 0.0000 0.0000 0.0000 x4
Ga: 0.0000 0.0000 0.4922 x4
Pb: 0.2500 0.2500 0.2574 x8
O: 0.0000 0.2142 0.5781 x8
O: 0.2241 0.0000 0.3928 x8


The following is a calculated powder diffraction line list of MgC2N2. It was derived from the PBE geometry in Alexandria, using a wavelength of 1.5418 Å.
Intensities are scaled so that the largest is 100.

Most intense lines, 2θ = 10–90°, sorted by position:
two_theta, I/Imax, index
20.14, 100, 1 0 1
24.72, 76, 1 1 1
28.63, 4, 0 0 2
35.25, 20, 2 1 1
40.93, 40, 2 0 2
43.53, 7, 2 1 2
48.41, 6, 1 1 3
55.10, 28, 3 2 1
63.25, 14, 3 3 0
78.09, 6, 5 0 1

Crystal structure
a = 6.2414 Å, b = 6.2414 Å, c = 6.2277 Å
α = 90.00°, β = 90.00°, γ = 90.00°
Space group P4_2nm (No. 102)
Asymmetric unit:
Mg: 0.0000 0.0000 0.0000 x2
C: 0.2020 0.2020 0.2018 x4
N: 0.1898 0.8102 0.8100 x4